Record 1
Computed XRD peak list
Compound: YTi2Re2
Radiation: λ = 1.5418 Å (Cu Kα)
Structure: a crystal structure in Alexandria, relaxed with GGA-PBE
Lines closer than 0.1° are merged.

Crystal structure
```
YTi2Re2
1.0
7.721 0.000 0.000
0.000 7.721 0.000
0.000 0.000 3.037
Y Ti Re
2 4 4
direct
0.000 0.000 0.000
0.500 0.500 0.000
0.141 0.359 0.500
0.359 0.859 0.500
0.641 0.141 0.500
0.859 0.641 0.500
0.149 0.649 0.000
0.351 0.149 0.000
0.649 0.851 0.000
0.851 0.351 0.000
```

Top 10 peaks for 15 to 90 degrees two-theta, most intense first:
2θ = 39.52°, I = 100; 2θ = 36.81°, I = 59; 2θ = 25.80°, I = 53; 2θ = 29.41°, I = 29; 2θ = 47.80°, I = 28; 2θ = 72.97°, I = 25; 2θ = 73.44°, I = 15; 2θ = 47.08°, I = 11; 2θ = 16.23°, I = 10; 2θ = 57.85°, I = 10


Record 2
Computed XRD peak list
Compound: Tl5Re
Radiation: λ = 1.5418 Å (Cu Kα)
Structure: a crystal structure in Alexandria, relaxed with GGA-PBE
Lines closer than 0.1° are merged.

Crystal structure
```
Tl5Re
1.0
1.529 -12.739 0.000
1.529 12.739 0.000
0.000 0.000 4.800
Tl Re
5 1
direct
0.000 0.000 0.000
0.101 0.899 0.500
0.314 0.686 0.000
0.686 0.314 0.000
0.899 0.101 0.500
0.500 0.500 0.500
```

Top 10 peaks for 15 to 90 degrees two-theta, most intense first:
2θ = 36.40°, I = 100; 2θ = 28.05°, I = 51; 2θ = 19.76°, I = 43; 2θ = 34.19°, I = 42; 2θ = 37.47°, I = 41; 2θ = 35.23°, I = 38; 2θ = 42.98°, I = 32; 2θ = 51.62°, I = 27; 2θ = 52.37°, I = 25; 2θ = 59.21°, I = 25


Record 3
Computed XRD peak list
Compound: TlRe3
Radiation: λ = 1.5418 Å (Cu Kα)
Structure: a crystal structure in Alexandria, relaxed with GGA-PBE
Lines closer than 0.1° are merged.

Crystal structure
```
TlRe3
1.0
1.435 0.829 9.423
-1.435 0.829 9.423
0.000 -1.657 9.423
Tl Re
1 3
direct
0.000 0.000 0.000
0.242 0.242 0.242
0.500 0.500 0.500
0.758 0.758 0.758
```

Top 10 peaks for 15 to 90 degrees two-theta, most intense first:
2θ = 38.39°, I = 100; 2θ = 44.57°, I = 63; 2θ = 38.21°, I = 29; 2θ = 77.95°, I = 23; 2θ = 64.98°, I = 22; 2θ = 64.73°, I = 17; 2θ = 78.07°, I = 13; 2θ = 82.22°, I = 11; 2θ = 77.72°, I = 8; 2θ = 28.42°, I = 4


Record 4
Computed XRD peak list
Compound: Tl3Re4
Radiation: λ = 1.5418 Å (Cu Kα)
Structure: a crystal structure in Alexandria, relaxed with GGA-PBE
Lines closer than 0.1° are merged.

Crystal structure
```
Tl3Re4
1.0
-1.516 1.516 15.081
1.516 -1.516 15.081
1.516 1.516 -15.081
Tl Re
3 4
direct
0.000 0.000 0.000
0.301 0.301 0.000
0.699 0.699 0.000
0.123 0.123 0.000
0.424 0.424 0.000
0.576 0.576 0.000
0.877 0.877 0.000
```

Top 10 peaks for 15 to 90 degrees two-theta, most intense first:
2θ = 36.22°, I = 100; 2θ = 42.14°, I = 48; 2θ = 73.15°, I = 27; 2θ = 40.10°, I = 18; 2θ = 61.11°, I = 16; 2θ = 29.62°, I = 16; 2θ = 60.45°, I = 16; 2θ = 52.35°, I = 13; 2θ = 65.98°, I = 9; 2θ = 75.65°, I = 7


Record 5
Computed XRD peak list
Compound: Tl5Re3
Radiation: λ = 1.5418 Å (Cu Kα)
Structure: a crystal structure in Alexandria, relaxed with GGA-PBE
Lines closer than 0.1° are merged.

Crystal structure
```
Tl5Re3
1.0
5.660 0.000 0.000
0.911 7.900 0.000
0.861 0.221 8.447
Tl Re
10 6
direct
0.018 0.409 0.306
0.219 0.769 0.269
0.275 0.364 0.937
0.358 0.188 0.515
0.427 0.905 0.851
0.573 0.095 0.149
0.642 0.812 0.485
0.725 0.636 0.063
0.781 0.231 0.731
0.982 0.591 0.694
0.087 0.070 0.110
0.099 0.922 0.614
0.491 0.520 0.635
0.509 0.480 0.365
0.901 0.078 0.386
0.913 0.930 0.890
```

Top 10 peaks for 15 to 90 degrees two-theta, most intense first:
2θ = 35.99°, I = 100; 2θ = 30.42°, I = 51; 2θ = 39.83°, I = 38; 2θ = 41.16°, I = 28; 2θ = 34.22°, I = 25; 2θ = 33.51°, I = 21; 2θ = 36.76°, I = 20; 2θ = 27.39°, I = 19; 2θ = 30.59°, I = 18; 2θ = 35.52°, I = 17


Record 6
Computed XRD peak list
Compound: Tl3Re5
Radiation: λ = 1.5418 Å (Cu Kα)
Structure: a crystal structure in Alexandria, relaxed with GGA-PBE
Lines closer than 0.1° are merged.

Crystal structure
```
Tl3Re5
1.0
4.895 0.000 0.000
0.542 7.060 0.000
1.904 1.776 10.037
Tl Re
6 10
direct
0.090 0.375 0.192
0.251 0.830 0.013
0.331 0.299 0.744
0.669 0.701 0.256
0.749 0.170 0.987
0.910 0.625 0.808
0.130 0.666 0.454
0.139 0.943 0.269
0.237 0.011 0.526
0.433 0.875 0.738
0.444 0.344 0.433
0.556 0.656 0.567
0.567 0.125 0.262
0.763 0.989 0.474
0.861 0.057 0.731
0.870 0.334 0.546
```

Top 10 peaks for 15 to 90 degrees two-theta, most intense first:
2θ = 30.18°, I = 100; 2θ = 41.60°, I = 79; 2θ = 35.78°, I = 75; 2θ = 31.67°, I = 75; 2θ = 34.03°, I = 67; 2θ = 38.31°, I = 56; 2θ = 31.08°, I = 51; 2θ = 29.74°, I = 48; 2θ = 40.27°, I = 47; 2θ = 36.92°, I = 44


Record 7
Computed XRD peak list
Compound: TlRe2W
Radiation: λ = 1.5418 Å (Cu Kα)
Structure: a crystal structure in Alexandria, relaxed with GGA-PBE
Lines closer than 0.1° are merged.

Crystal structure
```
TlRe2W
1.0
-1.981 1.981 4.256
1.981 -1.981 4.256
1.981 1.981 -4.256
Tl Re W
1 2 1
direct
0.000 0.000 0.000
0.500 0.500 0.000
0.750 0.250 0.500
0.250 0.750 0.500
```

Top 8 peaks for 15 to 90 degrees two-theta, most intense first:
2θ = 38.47°, I = 100; 2θ = 45.81°, I = 31; 2θ = 79.81°, I = 25; 2θ = 64.24°, I = 23; 2θ = 42.48°, I = 19; 2θ = 75.05°, I = 15; 2θ = 82.44°, I = 11; 2θ = 66.79°, I = 10


Record 8
Computed XRD peak list
Compound: Zr4TlRe
Radiation: λ = 1.5418 Å (Cu Kα)
Structure: a crystal structure in Alexandria, relaxed with GGA-PBE
Lines closer than 0.1° are merged.

Crystal structure
```
Zr4TlRe
1.0
2.397 1.384 7.480
-2.397 1.384 7.480
0.000 -2.767 7.480
Zr Tl Re
4 1 1
direct
0.115 0.115 0.115
0.365 0.365 0.365
0.635 0.635 0.635
0.885 0.885 0.885
0.500 0.500 0.500
0.000 0.000 0.000
```

Top 10 peaks for 15 to 90 degrees two-theta, most intense first:
2θ = 37.53°, I = 100; 2θ = 22.84°, I = 92; 2θ = 38.74°, I = 80; 2θ = 44.92°, I = 31; 2θ = 68.53°, I = 30; 2θ = 55.04°, I = 29; 2θ = 23.79°, I = 27; 2θ = 67.72°, I = 17; 2θ = 44.39°, I = 16; 2θ = 45.97°, I = 15


Record 9
Computed XRD peak list
Compound: TmRe6
Radiation: λ = 1.5418 Å (Cu Kα)
Structure: a crystal structure in Alexandria, relaxed with GGA-PBE
Lines closer than 0.1° are merged.

Crystal structure
```
TmRe6
1.0
8.466 0.000 0.000
0.000 5.211 0.000
0.000 0.000 10.845
Tm Re
4 24
direct
0.233 0.250 0.056
0.267 0.750 0.556
0.733 0.250 0.444
0.767 0.750 0.944
0.073 0.008 0.307
0.073 0.492 0.307
0.082 0.250 0.521
0.082 0.750 0.081
0.139 0.750 0.850
0.181 0.250 0.757
0.319 0.750 0.257
0.361 0.250 0.350
0.418 0.250 0.581
0.418 0.750 0.021
0.427 0.508 0.807
0.427 0.992 0.807
0.573 0.008 0.193
0.573 0.492 0.193
0.582 0.250 0.979
0.582 0.750 0.419
0.639 0.750 0.650
0.681 0.250 0.743
0.819 0.750 0.243
0.861 0.250 0.150
0.918 0.250 0.919
0.918 0.750 0.479
0.927 0.508 0.693
0.927 0.992 0.693
```

Top 10 peaks for 15 to 90 degrees two-theta, most intense first:
2θ = 37.17°, I = 100; 2θ = 44.15°, I = 79; 2θ = 36.98°, I = 67; 2θ = 34.74°, I = 62; 2θ = 41.54°, I = 58; 2θ = 43.27°, I = 53; 2θ = 43.57°, I = 38; 2θ = 43.05°, I = 35; 2θ = 34.42°, I = 29; 2θ = 38.33°, I = 29


Record 10
Computed XRD peak list
Compound: YTmRe
Radiation: λ = 1.5418 Å (Cu Kα)
Structure: a crystal structure in Alexandria, relaxed with GGA-PBE
Lines closer than 0.1° are merged.

Crystal structure
```
YTmRe
1.0
3.294 -5.956 0.000
3.294 5.956 0.000
0.000 0.000 7.987
Y Tm Re
4 4 4
direct
0.188 0.812 0.895
0.312 0.688 0.395
0.688 0.312 0.605
0.812 0.188 0.105
0.194 0.306 0.750
0.306 0.194 0.250
0.694 0.806 0.750
0.806 0.694 0.250
0.095 0.905 0.553
0.405 0.595 0.053
0.595 0.405 0.947
0.905 0.095 0.447
```

Top 10 peaks for 15 to 90 degrees two-theta, most intense first:
2θ = 18.99°, I = 100; 2θ = 35.32°, I = 90; 2θ = 33.04°, I = 80; 2θ = 36.98°, I = 68; 2θ = 41.88°, I = 57; 2θ = 34.64°, I = 35; 2θ = 38.52°, I = 35; 2θ = 32.08°, I = 34; 2θ = 42.46°, I = 22; 2θ = 68.86°, I = 22


Record 11
Computed XRD peak list
Compound: U6Re
Radiation: λ = 1.5418 Å (Cu Kα)
Structure: a crystal structure in Alexandria, relaxed with GGA-PBE
Lines closer than 0.1° are merged.

Crystal structure
```
U6Re
1.0
-3.513 3.513 3.513
3.513 -3.513 3.513
3.513 3.513 -3.513
U Re
6 1
direct
0.250 0.500 0.750
0.250 0.750 0.500
0.500 0.250 0.750
0.500 0.750 0.250
0.750 0.250 0.500
0.750 0.500 0.250
0.000 0.000 0.000
```

Top 10 peaks for 15 to 90 degrees two-theta, most intense first:
2θ = 31.18°, I = 100; 2θ = 48.48°, I = 60; 2θ = 44.68°, I = 43; 2θ = 25.36°, I = 42; 2θ = 52.07°, I = 36; 2θ = 17.86°, I = 33; 2θ = 76.74°, I = 24; 2θ = 85.13°, I = 20; 2θ = 73.89°, I = 18; 2θ = 58.78°, I = 17


Record 12
Computed XRD peak list
Compound: UReW
Radiation: λ = 1.5418 Å (Cu Kα)
Structure: a crystal structure in Alexandria, relaxed with GGA-PBE
Lines closer than 0.1° are merged.

Crystal structure
```
UReW
1.0
-1.833 1.833 4.099
1.833 -1.833 4.099
1.833 1.833 -4.099
U Re W
1 1 1
direct
0.000 0.000 0.000
0.320 0.320 0.000
0.688 0.688 0.000
```

Top 10 peaks for 15 to 90 degrees two-theta, most intense first:
2θ = 41.20°, I = 100; 2θ = 34.61°, I = 86; 2θ = 66.52°, I = 50; 2θ = 49.75°, I = 31; 2θ = 87.44°, I = 17; 2θ = 83.38°, I = 16; 2θ = 79.26°, I = 13; 2θ = 89.46°, I = 11; 2θ = 73.01°, I = 10; 2θ = 68.70°, I = 7


Record 13
Computed XRD peak list
Compound: U2Zn16Re
Radiation: λ = 1.5418 Å (Cu Kα)
Structure: a crystal structure in Alexandria, relaxed with GGA-PBE
Lines closer than 0.1° are merged.

Crystal structure
```
U2Zn16Re
1.0
4.542 2.622 4.283
-4.542 2.622 4.283
0.000 -5.244 4.283
U Zn Re
2 16 1
direct
0.000 0.000 0.000
0.346 0.346 0.346
0.041 0.041 0.528
0.041 0.528 0.041
0.196 0.683 0.683
0.327 0.327 0.854
0.327 0.854 0.327
0.399 0.690 0.980
0.399 0.980 0.690
0.528 0.041 0.041
0.589 0.589 0.589
0.683 0.196 0.683
0.683 0.683 0.196
0.690 0.399 0.980
0.690 0.980 0.399
0.854 0.327 0.327
0.980 0.399 0.690
0.980 0.690 0.399
0.810 0.810 0.810
```

Top 10 peaks for 15 to 90 degrees two-theta, most intense first:
2θ = 40.33°, I = 100; 2θ = 39.69°, I = 100; 2θ = 34.19°, I = 77; 2θ = 42.00°, I = 43; 2θ = 36.10°, I = 38; 2θ = 33.20°, I = 38; 2θ = 19.55°, I = 37; 2θ = 42.20°, I = 37; 2θ = 28.65°, I = 32; 2θ = 59.32°, I = 28